Entry 1:
Er8Te4SeS3: computed powder XRD pattern (Cu Kα (weighted mean of Kα1 and Kα2)), based on DFT lattice parameters and positions (GGA-PBE).
Neutral-atom scattering factors, no anomalous dispersion.

Peak list (10 most intense, 10 to 90 degrees two-theta, in order of falling intensity)
2.912 Å, intensity 100.0; 2.040 Å, intensity 39.6; 2.080 Å, intensity 27.7; 2.681 Å, intensity 19.3; 1.671 Å, intensity 19.0; 1.293 Å, intensity 15.9; 3.342 Å, intensity 14.8; 1.522 Å, intensity 14.1; 1.185 Å, intensity 8.8; 1.456 Å, intensity 8.7

Atomic structure:
```
data_Er8Te4SeS3
_cell_length_a 8.1593
_cell_length_b 8.1593
_cell_length_c 20.5786
_cell_angle_alpha 90.00
_cell_angle_beta 90.00
_cell_angle_gamma 120.00
_symmetry_space_group_name_H-M 'R -3 m'
_symmetry_Int_Tables_number 166
_symmetry_space_group_name_Hall '-R 3 2"'
loop_
_atom_site_label
_atom_site_type_symbol
_atom_site_fract_x
_atom_site_fract_y
_atom_site_fract_z
Er1 Er 0.0000 0.0000 0.2338
Er2 Er 0.0107 0.5054 0.7653
Te1 Te 0.0000 0.0000 0.0000
Te2 Te 0.0000 0.5000 0.0000
Se1 Se 0.0000 0.0000 0.5000
S1 S 0.0000 0.5000 0.5000
```

***

Entry 2:
PrY7Ho3: computed powder XRD pattern (Cu Kα (weighted mean of Kα1 and Kα2)), based on DFT lattice parameters and positions (GGA-PBE).
Neutral-atom scattering factors, no anomalous dispersion.

Peak list (10 most intense, 10 to 90 degrees two-theta, in order of falling intensity)
2.824 Å, intensity 100.0; 2.736 Å, intensity 58.7; 2.795 Å, intensity 52.7; 2.786 Å, intensity 49.5; 1.600 Å, intensity 22.8; 4.712 Å, intensity 21.3; 2.765 Å, intensity 20.2; 4.796 Å, intensity 19.2; 1.472 Å, intensity 15.4; 1.616 Å, intensity 15.3

Atomic structure:
```
data_PrY7Ho3
_cell_length_a 6.934
_cell_length_b 5.572
_cell_length_c 9.975
_cell_angle_alpha 90.00
_cell_angle_beta 109.13
_cell_angle_gamma 90.00
_symmetry_space_group_name_H-M 'P 1 2/m 1'
_symmetry_Int_Tables_number 10
loop_
_symmetry_equiv_pos_as_xyz
'x,y,z'
'-x,-y,-z'
'-x,y,-z'
'x,-y,z'
loop_
_atom_site_label
_atom_site_type_symbol
_atom_site_fract_x
_atom_site_fract_y
_atom_site_fract_z
Pr1 Pr 0.000 0.000 0.000
Y1 Y 0.000 0.000 0.500
Y2 Y 0.148 0.500 0.788
Y3 Y 0.324 0.500 0.141
Y4 Y 0.427 0.000 0.332
Ho1 Ho 0.276 0.500 0.496
Ho2 Ho 0.500 0.000 0.000
```

***

- Number 1 is which compound?
  Er8Te4SeS3

***

What did the second record say?
PrY7Ho3: computed powder XRD pattern (Cu Kα (weighted mean of Kα1 and Kα2)), based on DFT lattice parameters and positions (GGA-PBE).
Neutral-atom scattering factors, no anomalous dispersion.

Peak list (10 most intense, 10 to 90 degrees two-theta, in order of falling intensity)
2.824 Å, intensity 100.0; 2.736 Å, intensity 58.7; 2.795 Å, intensity 52.7; 2.786 Å, intensity 49.5; 1.600 Å, intensity 22.8; 4.712 Å, intensity 21.3; 2.765 Å, intensity 20.2; 4.796 Å, intensity 19.2; 1.472 Å, intensity 15.4; 1.616 Å, intensity 15.3

Atomic structure:
```
data_PrY7Ho3
_cell_length_a 6.934
_cell_length_b 5.572
_cell_length_c 9.975
_cell_angle_alpha 90.00
_cell_angle_beta 109.13
_cell_angle_gamma 90.00
_symmetry_space_group_name_H-M 'P 1 2/m 1'
_symmetry_Int_Tables_number 10
loop_
_symmetry_equiv_pos_as_xyz
'x,y,z'
'-x,-y,-z'
'-x,y,-z'
'x,-y,z'
loop_
_atom_site_label
_atom_site_type_symbol
_atom_site_fract_x
_atom_site_fract_y
_atom_site_fract_z
Pr1 Pr 0.000 0.000 0.000
Y1 Y 0.000 0.000 0.500
Y2 Y 0.148 0.500 0.788
Y3 Y 0.324 0.500 0.141
Y4 Y 0.427 0.000 0.332
Ho1 Ho 0.276 0.500 0.496
Ho2 Ho 0.500 0.000 0.000
```